Diffraction record for Ba2Zn. The X-ray diffraction stick pattern is calculated, not measured: it uses a cell relaxed with GGA-PBE and Cu Kα, 1.54184 Å.

Principal peaks in the range 2θ = 10–80°, by angle:
d = 4.031 Å, 22.05 deg, I = 28.5, (1 0 1); d = 3.218 Å, 27.72 deg, I = 100.0, (1 0 3); d = 2.957 Å, 30.22 deg, I = 60.7, (1 1 0); d = 2.450 Å, 36.68 deg, I = 34.5, (1 0 5); d = 1.753 Å, 52.17 deg, I = 33.8, (2 1 3); d = 1.591 Å, 57.96 deg, I = 35.9, (1 1 8)

Atomic structure:
Cell: 4.182 4.182 15.114 Å, 90.00 90.00 90.00°
Space group I4/mmm (No. 139)
Inequivalent atoms, fractional coordinates:
Ba1 0.000 0.000 0.129
Zn1 0.000 0.000 0.500